Structure and simulated powder X-ray diffraction pattern of TaCr3Ag2S8 (the PBE geometry in Alexandria; Cu Kα (λ = 1.5418 Å)).
Neutral-atom scattering factors, no anomalous dispersion.

Structure:
Cell lengths 6.974, 5.985, 13.829 Å; angles 90.00, 105.48, 90.00 degrees
Fractional positions:
Ta1 0.000 0.000 0.000
Ta2 0.000 0.000 0.500
Cr1 0.248 0.499 0.001
Cr2 0.248 0.501 0.501
Cr3 0.500 0.000 0.000
Cr4 0.500 0.000 0.500
Cr5 0.752 0.499 0.499
Cr6 0.752 0.501 0.999
Ag1 0.000 0.428 0.250
Ag2 0.000 0.572 0.750
Ag3 0.500 0.123 0.750
Ag4 0.500 0.877 0.250
S1 0.059 0.338 0.605
S2 0.059 0.662 0.105
S3 0.197 0.169 0.396
S4 0.197 0.831 0.896
S5 0.308 0.166 0.105
S6 0.308 0.834 0.605
S7 0.452 0.335 0.903
S8 0.452 0.665 0.403
S9 0.548 0.335 0.597
S10 0.548 0.665 0.097
S11 0.692 0.166 0.395
S12 0.692 0.834 0.895
S13 0.803 0.169 0.104
S14 0.803 0.831 0.604
S15 0.941 0.338 0.895
S16 0.941 0.662 0.395

Most intense lines, 15 to 90 degrees two-theta, low angle first:
| hkl | 2theta | Rel. int. |
| --- | --- | --- |
| 1 1 -2 | 21.89 | 98 |
| 1 1 2 | 25.90 | 68 |
| 2 0 0 | 26.52 | 46 |
| 0 0 4 | 26.76 | 37 |
| 2 0 -4 | 32.42 | 39 |
| 2 1 1 | 32.79 | 60 |
| 2 1 -4 | 35.79 | 39 |
| 0 2 3 | 36.22 | 100 |
| 0 2 4 | 40.52 | 58 |
| 2 1 -6 | 45.12 | 42 |
| 2 1 4 | 45.75 | 29 |
| 2 3 -2 | 53.30 | 42 |